Entry 1:
The following is a theoretical powder X-ray diffraction pattern of Pr2Nd4Tm3. It was derived from DFT lattice parameters and positions (PBE), using Cu Kα (weighted mean of Kα1 and Kα2).

Top 10 peaks for 2θ = 5–70°, sorted by position:
2θ/deg, d (Å), I (rel.)
28.37, 3.146, 44
29.76, 3.002, 44
30.09, 2.970, 10
31.37, 2.852, 57
32.95, 2.719, 100
41.58, 2.172, 27
50.23, 1.816, 35
55.89, 1.645, 31
59.49, 1.554, 37
61.39, 1.510, 17

Crystal structure
Cell lengths 3.632, 3.632, 27.018 Å; angles 90.00, 90.00, 120.00 degrees
Sites, in units of the cell vectors:
Pr (0.000, 0.000, 0.000)
Pr (0.000, 0.000, 0.212)
Nd (0.000, 0.000, 0.347)
Nd (0.000, 0.000, 0.557)
Nd (0.333, 0.667, 0.672)
Nd (0.333, 0.667, 0.884)
Tm (0.000, 0.000, 0.778)
Tm (0.333, 0.667, 0.107)
Tm (0.333, 0.667, 0.451)

***

Entry 2:
The following is a theoretical powder X-ray diffraction pattern of Pr8Nd2Tm3. It was derived from DFT lattice parameters and positions (PBE), using Cu Kα (weighted mean of Kα1 and Kα2).

Top 10 peaks for 2θ = 5–70°, sorted by position:
2θ/deg, d (Å), I (rel.)
24.49, 3.635, 23
28.90, 3.089, 43
30.12, 2.967, 36
31.19, 2.868, 44
32.76, 2.734, 100
34.96, 2.567, 12
40.05, 2.251, 13
56.51, 1.629, 21
62.92, 1.477, 13
66.32, 1.410, 12

Crystal structure
Cell lengths 7.760, 5.735, 11.099 Å; angles 90.00, 110.44, 90.00 degrees
Sites, in units of the cell vectors:
Pr (0.100, 0.000, 0.294)
Pr (0.172, 0.500, 0.843)
Pr (0.306, 0.000, 0.706)
Pr (0.372, 0.500, 0.243)
Pr (0.628, 0.500, 0.757)
Pr (0.694, 0.000, 0.294)
Pr (0.828, 0.500, 0.157)
Pr (0.900, 0.000, 0.706)
Nd (0.261, 0.000, 0.022)
Nd (0.739, 0.000, 0.978)
Tm (0.215, 0.500, 0.500)
Tm (0.500, 0.000, 0.500)
Tm (0.785, 0.500, 0.500)

***

Entry 3:
The following is a theoretical powder X-ray diffraction pattern of PrNd3Tm6. It was derived from DFT lattice parameters and positions (PBE), using Cu Kα (weighted mean of Kα1 and Kα2).

Top 10 peaks for 2θ = 5–70°, sorted by position:
2θ/deg, d (Å), I (rel.)
30.13, 2.966, 52
30.86, 2.898, 71
31.77, 2.817, 100
32.75, 2.735, 49
32.92, 2.721, 34
37.00, 2.429, 31
49.17, 1.853, 20
51.78, 1.765, 18
61.50, 1.508, 22
62.06, 1.496, 16

Crystal structure
Cell lengths 13.018, 3.531, 14.305 Å; angles 90.00, 100.35, 90.00 degrees
Sites, in units of the cell vectors:
Pr (0.040, 0.250, 0.220)
Pr (0.960, 0.750, 0.780)
Nd (0.077, 0.250, 0.599)
Nd (0.372, 0.750, 0.996)
Nd (0.421, 0.250, 0.402)
Nd (0.579, 0.750, 0.598)
Nd (0.628, 0.250, 0.004)
Nd (0.923, 0.750, 0.401)
Tm (0.121, 0.250, 0.988)
Tm (0.195, 0.750, 0.426)
Tm (0.223, 0.750, 0.786)
Tm (0.273, 0.750, 0.200)
Tm (0.346, 0.250, 0.622)
Tm (0.499, 0.750, 0.809)
Tm (0.501, 0.250, 0.191)
Tm (0.654, 0.750, 0.378)
Tm (0.727, 0.250, 0.800)
Tm (0.777, 0.250, 0.214)
Tm (0.805, 0.250, 0.574)
Tm (0.879, 0.750, 0.012)

***

Entry 4:
The following is a theoretical powder X-ray diffraction pattern of PrNd2Tm. It was derived from DFT lattice parameters and positions (PBE), using Cu Kα (weighted mean of Kα1 and Kα2).

Top 8 peaks for 2θ = 5–70°, sorted by position:
2θ/deg, d (Å), I (rel.)
30.08, 2.971, 100
34.78, 2.579, 17
34.92, 2.570, 34
50.11, 1.820, 24
50.21, 1.817, 12
59.47, 1.554, 15
59.65, 1.550, 29
62.53, 1.485, 12

Crystal structure
Cell lengths 5.139, 5.139, 5.159 Å; angles 90.00, 90.00, 90.00 degrees
Sites, in units of the cell vectors:
Pr (0.000, 0.000, 0.000)
Nd (0.000, 0.500, 0.500)
Nd (0.500, 0.000, 0.500)
Tm (0.500, 0.500, 0.000)

***

Entry 5:
The following is a theoretical powder X-ray diffraction pattern of PrNd12Tm3. It was derived from DFT lattice parameters and positions (PBE), using Cu Kα (weighted mean of Kα1 and Kα2).

Top 5 peaks for 2θ = 5–70°, sorted by position:
2θ/deg, d (Å), I (rel.)
30.03, 2.976, 100
34.81, 2.577, 51
50.06, 1.822, 36
59.48, 1.554, 43
62.42, 1.488, 12

Crystal structure
Cell lengths 5.157, 5.157, 20.591 Å; angles 90.00, 90.00, 90.00 degrees
Sites, in units of the cell vectors:
Pr (0.000, 0.000, 0.000)
Nd (0.000, 0.500, 0.128)
Nd (0.000, 0.500, 0.376)
Nd (0.000, 0.500, 0.624)
Nd (0.000, 0.500, 0.872)
Nd (0.500, 0.000, 0.128)
Nd (0.500, 0.000, 0.376)
Nd (0.500, 0.000, 0.624)
Nd (0.500, 0.000, 0.872)
Nd (0.500, 0.500, 0.000)
Nd (0.500, 0.500, 0.253)
Nd (0.500, 0.500, 0.500)
Nd (0.500, 0.500, 0.747)
Tm (0.000, 0.000, 0.252)
Tm (0.000, 0.000, 0.500)
Tm (0.000, 0.000, 0.748)

***

Entry 6:
The following is a theoretical powder X-ray diffraction pattern of Pr2NdYTm2. It was derived from DFT lattice parameters and positions (PBE), using Cu Kα (weighted mean of Kα1 and Kα2).

Top 10 peaks for 2θ = 5–70°, sorted by position:
2θ/deg, d (Å), I (rel.)
25.41, 3.505, 16
29.93, 2.986, 17
31.02, 2.883, 100
31.13, 2.873, 34
31.26, 2.861, 84
31.40, 2.849, 57
33.61, 2.666, 17
44.80, 2.023, 25
55.66, 1.651, 19
55.80, 1.647, 16

Crystal structure
Cell lengths 5.699, 10.027, 7.011 Å; angles 90.00, 90.00, 90.00 degrees
Sites, in units of the cell vectors:
Pr (0.000, 0.018, 0.000)
Pr (0.000, 0.982, 0.500)
Pr (0.500, 0.190, 0.262)
Pr (0.500, 0.810, 0.762)
Nd (0.000, 0.318, 0.690)
Nd (0.000, 0.682, 0.190)
Y (0.500, 0.484, 0.951)
Y (0.500, 0.516, 0.451)
Tm (0.000, 0.359, 0.198)
Tm (0.000, 0.641, 0.698)
Tm (0.500, 0.145, 0.754)
Tm (0.500, 0.855, 0.254)

***

Entry 7:
The following is a theoretical powder X-ray diffraction pattern of Pr6NdY2Tm. It was derived from DFT lattice parameters and positions (PBE), using Cu Kα (weighted mean of Kα1 and Kα2).

Top 10 peaks for 2θ = 5–70°, sorted by position:
2θ/deg, d (Å), I (rel.)
27.60, 3.232, 17
27.86, 3.203, 41
29.42, 3.036, 51
29.97, 2.981, 17
30.25, 2.954, 100
30.61, 2.920, 37
30.81, 2.902, 40
31.74, 2.819, 15
33.55, 2.671, 30
34.19, 2.622, 21

Crystal structure
Cell lengths 9.032, 9.032, 9.645 Å; angles 93.20, 93.20, 116.36 degrees
Sites, in units of the cell vectors:
Pr (0.002, 0.560, 0.188)
Pr (0.114, 0.763, 0.558)
Pr (0.237, 0.886, 0.942)
Pr (0.294, 0.521, 0.385)
Pr (0.440, 0.998, 0.312)
Pr (0.479, 0.706, 0.115)
Pr (0.521, 0.294, 0.885)
Pr (0.560, 0.002, 0.688)
Pr (0.706, 0.479, 0.615)
Pr (0.763, 0.114, 0.058)
Pr (0.886, 0.237, 0.442)
Pr (0.998, 0.440, 0.812)
Nd (0.033, 0.967, 0.250)
Nd (0.967, 0.033, 0.750)
Y (0.205, 0.298, 0.051)
Y (0.298, 0.205, 0.551)
Y (0.702, 0.795, 0.449)
Y (0.795, 0.702, 0.949)
Tm (0.412, 0.588, 0.750)
Tm (0.588, 0.412, 0.250)

***

Entry 8:
The following is a theoretical powder X-ray diffraction pattern of Pr2NdYTm. It was derived from DFT lattice parameters and positions (PBE), using Cu Kα (weighted mean of Kα1 and Kα2).

Top 10 peaks for 2θ = 5–70°, sorted by position:
2θ/deg, d (Å), I (rel.)
18.60, 4.771, 35
24.63, 3.614, 24
30.64, 2.918, 100
32.06, 2.792, 68
32.34, 2.768, 43
36.08, 2.489, 27
39.64, 2.273, 31
49.76, 1.832, 16
56.62, 1.625, 18
63.78, 1.459, 17

Crystal structure
Cell lengths 5.878, 5.878, 11.072 Å; angles 90.00, 90.00, 108.50 degrees
Sites, in units of the cell vectors:
Pr (0.247, 0.247, 0.000)
Pr (0.247, 0.247, 0.500)
Pr (0.753, 0.753, 0.000)
Pr (0.753, 0.753, 0.500)
Nd (0.392, 0.608, 0.750)
Nd (0.608, 0.392, 0.250)
Y (0.258, 0.742, 0.250)
Y (0.742, 0.258, 0.750)
Tm (0.079, 0.921, 0.750)
Tm (0.921, 0.079, 0.250)